Diffraction record for In3Se5. The powder XRD pattern is calculated, not measured: it uses a cell relaxed with PBE and Cu Kα.
Lines closer than 0.1° are merged.

Largest 6 diffraction maxima, by angle, 15 to 90 degrees two-theta:
25.0°, rel. 602, hkl 0 0 2
34.7°, rel. 1000, hkl 2 2 1
45.6°, rel. 110, hkl 0 4 0
50.6°, rel. 334, hkl 2 2 3
52.7°, rel. 142, hkl 0 4 2
53.8°, rel. 137, hkl 4 0 2

Atomic structure:
abc: 7.754 7.963 7.127
angles: 90.00 90.00 90.00
Sites, in units of the cell vectors:
1 In 0.000 0.000 0.000
2 In 0.000 0.267 0.500
3 In 0.000 0.733 0.500
4 In 0.500 0.233 0.500
5 In 0.500 0.500 0.000
6 In 0.500 0.767 0.500
7 Se 0.000 0.500 0.000
8 Se 0.237 0.000 0.500
9 Se 0.250 0.250 0.000
10 Se 0.250 0.750 0.000
11 Se 0.263 0.500 0.500
12 Se 0.500 0.000 0.000
13 Se 0.737 0.500 0.500
14 Se 0.750 0.250 0.000
15 Se 0.750 0.750 0.000
16 Se 0.763 0.000 0.500